Simulated powder diffractogram of Re4C for Cu Kα (λ = 1.5418 Å), from a cell relaxed with GGA-PBE.

Structural model:
```
data_Re4C
_space_group_name_H-M_alt 'I 4/m'
_space_group_IT_number 87
_space_group_name_Hall '-I 4'
_cell_length_a 6.8432
_cell_length_b 6.8432
_cell_length_c 2.7820
_cell_angle_alpha 90.00
_cell_angle_beta 90.00
_cell_angle_gamma 90.00
loop_
_atom_site_label
_atom_site_fract_x
_atom_site_fract_y
_atom_site_fract_z
Re1 0.0774 0.2622 0.0000
C1 0.0000 0.0000 0.5000
```

Most intense lines, 2θ = 15–90°, sorted by position:
d/Å	Position (°2θ)	intensity	hkl
2.577	34.8	341	1 0 1
2.419	37.2	278	2 2 0
2.164	41.7	733	1 3 0
2.059	44.0	1000	2 1 1
1.568	58.9	107	3 2 1
1.530	60.5	116	4 2 0
1.425	65.5	246	1 4 1
1.228	77.8	240	4 3 1
1.174	82.1	122	3 5 0
1.170	82.4	210	1 3 2